Entry 1:
# SeS2Cl8
Simulated powder X-ray diffraction pattern, copper Kα. Input: a crystal structure in Alexandria, relaxed with GGA-PBE.

Principal peaks in the range 2θ from 15° to 90°, by intensity:
- 2θ = 18.63°, 4.764 Å, I = 100, hkl 1 1 1
- 2θ = 28.29°, 3.155 Å, I = 48, hkl 2 2 -1
- 2θ = 17.62°, 5.034 Å, I = 29, hkl 2 0 -1
- 2θ = 30.31°, 2.949 Å, I = 25, hkl 2 0 2
- 2θ = 33.19°, 2.699 Å, I = 22, hkl 4 2 0
- 2θ = 25.90°, 3.440 Å, I = 17, hkl 3 1 1

Cell and atoms:
Unit cell a=14.5128 b=8.0968 c=6.6343 alpha=90.00 beta=93.29 gamma=90.00
Space group C2/m (No. 12)
Symmetry-distinct sites (fractional):
Se: 0.0000 0.0000 0.0000 x2
S: 0.2245 0.5000 0.2969 x4
Cl: 0.0890 0.5000 0.3365 x4
Cl: 0.1015 0.2071 0.8852 x8
Cl: 0.2165 0.0000 0.4229 x4

=====

Entry 2:
# Sr4TlSn2
Simulated powder X-ray diffraction pattern, copper Kα. Input: a crystal structure in Alexandria, relaxed with GGA-PBE.

Principal peaks in the range 2θ from 15° to 90°, by intensity:
- 2θ = 31.28°, 2.859 Å, I = 100, hkl 1 1 0
- 2θ = 31.43°, 2.846 Å, I = 98, hkl 0 1 8
- 2θ = 55.74°, 1.649 Å, I = 59, hkl 3 0 0
- 2θ = 44.94°, 2.017 Å, I = 37, hkl 2 0 8
- 2θ = 18.19°, 4.876 Å, I = 22, hkl 1 0 1
- 2θ = 56.05°, 1.641 Å, I = 19, hkl 1 0 16

Cell and atoms:
Unit cell a=5.7187 b=5.7187 c=27.8241 alpha=90.00 beta=90.00 gamma=120.00
Space group R-3m (No. 166, hexagonal axes)
Symmetry-distinct sites (fractional):
Sr: 0.0000 0.0000 0.1218 x6
Sr: 0.0000 0.0000 0.3730 x6
Tl: 0.0000 0.0000 0.5000 x3
Sn: 0.0000 0.0000 0.2489 x6

=====

Entry 3:
# ErTm4Sc2
Simulated powder X-ray diffraction pattern, copper Kα. Input: a crystal structure in Alexandria, relaxed with GGA-PBE.

Principal peaks in the range 2θ from 15° to 90°, by intensity:
- 2θ = 33.49°, 2.676 Å, I = 100, hkl 1 1 -2
- 2θ = 36.11°, 2.487 Å, I = 95, hkl 1 1 2
- 2θ = 16.77°, 5.285 Å, I = 60, hkl 0 0 2
- 2θ = 33.92°, 2.643 Å, I = 46, hkl 0 0 4
- 2θ = 32.14°, 2.785 Å, I = 46, hkl 1 0 3
- 2θ = 31.47°, 2.842 Å, I = 42, hkl 2 0 -1

Cell and atoms:
Unit cell a=5.7155 b=3.4630 c=10.7155 alpha=90.00 beta=99.44 gamma=90.00
Space group P2/m (No. 10)
Symmetry-distinct sites (fractional):
Er: 0.0000 0.0000 0.0000 x1
Tm: 0.0884 0.5000 0.2655 x2
Tm: 0.4312 0.0000 0.7877 x2
Sc: 0.0000 0.0000 0.5000 x1
Sc: 0.5000 0.5000 0.5000 x1